Entry 1:
Simulated XRD peak list of ErVC for a wavelength of 1.5418 Å, from a cell relaxed with GGA-PBE.

Top 10 peaks for 2θ = 10–80°, by angle:
2θ = 16.8°, rel. 37
2θ = 23.8°, rel. 22
2θ = 32.0°, rel. 61
2θ = 33.9°, rel. 41
2θ = 36.4°, rel. 100
2θ = 38.1°, rel. 72
2θ = 47.3°, rel. 27
2θ = 62.3°, rel. 21
2θ = 69.6°, rel. 19
2θ = 70.4°, rel. 20

Structure:
```
data_ErVC
_cell_length_a 10.5497
_cell_length_b 3.2940
_cell_length_c 5.2905
_cell_angle_alpha 90.00
_cell_angle_beta 90.00
_cell_angle_gamma 90.00
_space_group_name_H-M_alt 'P n m a'
_space_group_IT_number 62
loop_
_space_group_symop_operation_xyz
'x,y,z'
'-x,-y,-z'
'-x+1/2,-y,z+1/2'
'x+1/2,y,-z+1/2'
'x+1/2,-y+1/2,-z+1/2'
'-x+1/2,y+1/2,z+1/2'
'-x,y+1/2,-z'
'x,-y+1/2,z'
loop_
_atom_site_label
_atom_site_type_symbol
_atom_site_fract_x
_atom_site_fract_y
_atom_site_fract_z
Er1 Er 0.0500 0.2500 0.2460
V1 V 0.2063 0.2500 0.7659
C1 C 0.1641 0.7500 0.9709
```



Entry 2:
Simulated XRD peak list of Be3Zn2Au8 for a wavelength of 1.5418 Å, from a cell relaxed with GGA-PBE.

Top 10 peaks for 2θ = 10–80°, by angle:
2θ = 26.2°, rel. 55
2θ = 31.6°, rel. 77
2θ = 41.5°, rel. 100
2θ = 44.4°, rel. 23
2θ = 46.2°, rel. 21
2θ = 52.3°, rel. 17
2θ = 53.9°, rel. 24
2θ = 66.0°, rel. 14
2θ = 72.4°, rel. 20
2θ = 79.8°, rel. 15

Structure:
```
data_Be3Zn2Au8
_cell_length_a 7.8616
_cell_length_b 13.5886
_cell_length_c 4.0793
_cell_angle_alpha 90.00
_cell_angle_beta 90.00
_cell_angle_gamma 90.00
_space_group_name_H-M_alt 'C m m m'
_space_group_IT_number 65
_space_group_name_Hall '-C 2 2'
loop_
_atom_site_label
_atom_site_type_symbol
_atom_site_fract_x
_atom_site_fract_y
_atom_site_fract_z
Be1 Be 0.0000 0.0000 0.0000
Be2 Be 0.2476 0.5000 0.5000
Zn1 Zn 0.0000 0.2504 0.0000
Au1 Au 0.0000 0.1131 0.5000
Au2 Au 0.0000 0.3863 0.5000
Au3 Au 0.2467 0.3902 0.0000
```



Entry 3:
Simulated XRD peak list of Tb6Dy19Tm4 for a wavelength of 1.5418 Å, from a cell relaxed with GGA-PBE.

Top 10 peaks for 2θ = 10–80°, by angle:
2θ = 27.0°, rel. 48
2θ = 28.9°, rel. 56
2θ = 30.7°, rel. 100
2θ = 34.0°, rel. 18
2θ = 35.6°, rel. 42
2θ = 37.1°, rel. 70
2θ = 42.7°, rel. 19
2θ = 54.6°, rel. 25
2θ = 60.9°, rel. 27
2θ = 61.9°, rel. 21

Structure:
```
data_Tb6Dy19Tm4
_cell_length_a 12.3593
_cell_length_b 12.3593
_cell_length_c 12.3593
_cell_angle_alpha 90.00
_cell_angle_beta 90.00
_cell_angle_gamma 90.00
_space_group_name_H-M_alt 'I 2 3'
_space_group_IT_number 197
_space_group_name_Hall 'I 2 2 3'
loop_
_atom_site_label
_atom_site_type_symbol
_atom_site_fract_x
_atom_site_fract_y
_atom_site_fract_z
Tb1 Tb 0.0000 0.1269 0.5000
Dy1 Dy 0.0000 0.0000 0.0000
Dy2 Dy 0.0000 0.0000 0.2594
Dy3 Dy 0.0634 0.2789 0.7397
Tm1 Tm 0.1789 0.1789 0.1789
```



Entry 4:
Simulated XRD peak list of Er6Pb2O for a wavelength of 1.5418 Å, from a cell relaxed with GGA-PBE.

Top 10 peaks for 2θ = 10–80°, by angle:
2θ = 32.1°, rel. 100
2θ = 37.2°, rel. 18
2θ = 37.3°, rel. 35
2θ = 53.7°, rel. 25
2θ = 53.8°, rel. 12
2θ = 63.9°, rel. 14
2θ = 64.1°, rel. 28
2θ = 67.2°, rel. 13
2θ = 79.3°, rel. 2
2θ = 79.6°, rel. 4

Structure:
```
data_Er6Pb2O
_cell_length_a 6.8122
_cell_length_b 6.8122
_cell_length_c 9.6688
_cell_angle_alpha 90.00
_cell_angle_beta 90.00
_cell_angle_gamma 90.00
_space_group_name_H-M_alt 'I 4/m m m'
_space_group_IT_number 139
_space_group_name_Hall '-I 4 2'
loop_
_atom_site_label
_atom_site_type_symbol
_atom_site_fract_x
_atom_site_fract_y
_atom_site_fract_z
Er1 Er 0.0000 0.0000 0.2483
Er2 Er 0.2490 0.2490 0.0000
Pb1 Pb 0.0000 0.5000 0.2500
O1 O 0.0000 0.0000 0.0000
```



Entry 5:
Simulated XRD peak list of LaCoCu for a wavelength of 1.5418 Å, from a cell relaxed with GGA-PBE.

Top 10 peaks for 2θ = 10–80°, by angle:
2θ = 24.7°, rel. 13
2θ = 33.4°, rel. 100
2θ = 43.6°, rel. 41
2θ = 45.1°, rel. 12
2θ = 52.1°, rel. 4
2θ = 56.0°, rel. 22
2θ = 64.5°, rel. 25
2θ = 73.5°, rel. 19
2θ = 75.7°, rel. 9
2θ = 80.0°, rel. 6

Structure:
```
data_LaCoCu
_cell_length_a 4.1552
_cell_length_b 4.1552
_cell_length_c 4.0209
_cell_angle_alpha 90.00
_cell_angle_beta 90.00
_cell_angle_gamma 120.00
_space_group_name_H-M_alt 'P -6 m 2'
_space_group_IT_number 187
_space_group_name_Hall 'P -6 2'
loop_
_atom_site_label
_atom_site_type_symbol
_atom_site_fract_x
_atom_site_fract_y
_atom_site_fract_z
La1 La 0.0000 0.0000 0.0000
Co1 Co 0.6667 0.3333 0.5000
Cu1 Cu 0.3333 0.6667 0.5000
```